1.
Simulated X-ray powder pattern of HoLuTl2 for Cu Kα (λ = 1.5418 Å), from a DFT-relaxed cell (PBE, the Materials Project).
Neutral-atom scattering factors, no anomalous dispersion.

Structure:
```
data_HoLuTl2
_cell_length_a 7.527
_cell_length_b 7.527
_cell_length_c 7.527
_cell_angle_alpha 90.00
_cell_angle_beta 90.00
_cell_angle_gamma 90.00
_symmetry_space_group_name_H-M 'F m -3 m'
_symmetry_Int_Tables_number 225
_symmetry_space_group_name_Hall '-F 4 2 3'
loop_
_atom_site_label
_atom_site_type_symbol
_atom_site_fract_x
_atom_site_fract_y
_atom_site_fract_z
Ho1 Ho 0.000 0.000 0.000
Lu1 Lu 0.000 0.000 0.500
Tl1 Tl 0.250 0.250 0.250
```

The 6 most intense peaks (2θ = 10–90°), in order of rising 2θ:
| 2θ (°) | d_spacing | I/Imax | h k l |
| --- | --- | --- | --- |
| 23.64 | 3.764 | 1 | 2 0 0 |
| 33.68 | 2.661 | 100 | 2 2 0 |
| 48.37 | 1.882 | 18 | 4 0 0 |
| 60.23 | 1.537 | 38 | 4 2 2 |
| 70.81 | 1.331 | 12 | 4 4 0 |
| 80.74 | 1.190 | 17 | 6 2 0 |

=====

2.
Simulated X-ray powder pattern of NaO for Cu Kα (λ = 1.5418 Å), from a DFT-relaxed cell (PBE, the Materials Project).
Neutral-atom scattering factors, no anomalous dispersion.

Structure:
```
data_NaO
_cell_length_a 6.2794
_cell_length_b 6.2794
_cell_length_c 4.5069
_cell_angle_alpha 90.00
_cell_angle_beta 90.00
_cell_angle_gamma 120.00
_symmetry_space_group_name_H-M 'P -6 2 m'
_symmetry_Int_Tables_number 189
_symmetry_space_group_name_Hall 'P -6 -2'
loop_
_atom_site_label
_atom_site_type_symbol
_atom_site_fract_x
_atom_site_fract_y
_atom_site_fract_z
Na1 Na 0.0000 0.3002 0.0000
Na2 Na 0.0000 0.6344 0.5000
O1 O 0.0000 0.0000 0.3295
O2 O 0.3333 0.6667 0.1724
```

The 10 most intense peaks (2θ = 10–90°), in order of rising 2θ:
| 2θ (°) | d_spacing | I/Imax | h k l |
| --- | --- | --- | --- |
| 28.43 | 3.140 | 7 | 1 1 0 |
| 34.82 | 2.576 | 100 | 1 1 1 |
| 38.67 | 2.328 | 20 | 2 0 1 |
| 48.69 | 1.870 | 7 | 2 1 1 |
| 49.81 | 1.831 | 32 | 1 1 2 |
| 50.34 | 1.813 | 51 | 3 0 0 |
| 62.67 | 1.483 | 12 | 2 2 1 |
| 69.34 | 1.355 | 11 | 1 1 3 |
| 73.52 | 1.288 | 7 | 2 2 2 |
| 84.41 | 1.148 | 6 | 4 1 1 |